Starting from a GGA+U-relaxed structure, the powder X-ray diffraction pattern of TiMn3O8 was calculated for a wavelength of 1.5418 Å.
Intensities are scaled so that the largest is 100.

Largest 10 diffraction maxima, by angle, 5° ≤ 2θ ≤ 70°:
2theta  I/Imax  h k l
19.68  84  0 0 2
20.23  100  1 0 1
26.55  30  1 0 2
34.76  30  1 0 3
36.83  42  1 1 2
37.14  55  2 0 1
41.12  47  2 0 2
47.13  60  2 0 3
63.47  42  2 0 5
64.20  39  2 2 0

Structure:
Unit cell a=5.803 b=5.803 c=9.023 alpha=90.00 beta=90.00 gamma=120.00
Atoms (fractional coordinates):
Ti: 0.333 0.667 0.000
Ti: 0.667 0.333 0.500
Mn: 0.168 0.337 0.715
Mn: 0.168 0.832 0.715
Mn: 0.337 0.168 0.215
Mn: 0.663 0.832 0.715
Mn: 0.832 0.168 0.215
Mn: 0.832 0.663 0.215
O: 0.000 0.000 0.318
O: 0.000 0.000 0.818
O: 0.041 0.520 0.836
O: 0.167 0.334 0.102
O: 0.167 0.833 0.102
O: 0.333 0.667 0.605
O: 0.334 0.167 0.602
O: 0.480 0.520 0.836
O: 0.480 0.959 0.836
O: 0.520 0.041 0.336
O: 0.520 0.480 0.336
O: 0.666 0.833 0.102
O: 0.667 0.333 0.105
O: 0.833 0.167 0.602
O: 0.833 0.666 0.602
O: 0.959 0.480 0.336